TbBeF6: calculated PXRD pattern (Cu Kα (λ = 1.5418 Å)), based on a PBE-relaxed structure.
Lines closer than 0.1° are merged.

Atomic structure:
abc: 4.358 4.358 4.378
angles: 97.83 97.83 98.09
Fractional coordinates of all 8 atoms:
Tb (0.000, 0.000, 0.000)
Be (0.500, 0.500, 0.500)
F (0.215, 0.574, 0.217)
F (0.216, 0.216, 0.579)
F (0.426, 0.785, 0.783)
F (0.574, 0.215, 0.217)
F (0.784, 0.784, 0.421)
F (0.785, 0.426, 0.783)

Top 6 peaks for 5° ≤ 2θ ≤ 70°, in order of rising 2θ:
Position (°2θ), I_rel
20.74, 46
20.85, 91
27.09, 100
31.89, 41
42.14, 36
44.37, 71